No. 1
The following is a computed X-ray diffraction stick pattern of KBa3I7. It was derived from DFT lattice parameters and positions (PBE), using copper Kα.
Peak positions follow from Bragg's law for the DFT cell and can differ from measured ones.

Most intense lines, 15 to 90 degrees two-theta, in order of falling intensity:
30.46 deg, I 100, (2 4 2)
29.41 deg, I 29, (4 0 0)
31.07 deg, I 24, (0 0 4)
18.80 deg, I 21, (0 2 2)
18.14 deg, I 19, (2 2 0)
52.83 deg, I 18, (6 4 2)
43.31 deg, I 18, (4 0 4)
54.90 deg, I 17, (2 4 6)
21.26 deg, I 15, (2 0 2)
36.20 deg, I 11, (2 2 4)

Atomic structure:
```
data_KBa3I7
_cell_length_a 12.1483
_cell_length_b 16.4855
_cell_length_c 11.5137
_cell_angle_alpha 90.00
_cell_angle_beta 90.00
_cell_angle_gamma 90.00
_symmetry_space_group_name_H-M 'C 2 2 21'
_symmetry_Int_Tables_number 20
loop_
_symmetry_equiv_pos_as_xyz
'x,y,z'
'-x,-y,z+1/2'
'x,-y,-z'
'-x,y,-z+1/2'
'x+1/2,y+1/2,z'
'-x+1/2,-y+1/2,z+1/2'
'x+1/2,-y+1/2,-z'
'-x+1/2,y+1/2,-z+1/2'
loop_
_atom_site_label
_atom_site_type_symbol
_atom_site_fract_x
_atom_site_fract_y
_atom_site_fract_z
K1 K 0.0005 0.0000 0.0000
Ba1 Ba 0.0003 0.5000 0.0000
Ba2 Ba 0.2269 0.2346 0.7496
I1 I 0.0000 0.1101 0.7500
I2 I 0.0000 0.3585 0.2500
I3 I 0.0000 0.3725 0.7500
I4 I 0.2440 0.1240 0.4805
I5 I 0.2446 0.1241 0.0186
```

=====

No. 2
The following is a computed X-ray diffraction stick pattern of PuSc3B4O12. It was derived from DFT lattice parameters and positions (PBE), using copper Kα.
Peak positions follow from Bragg's law for the DFT cell and can differ from measured ones.

Most intense lines, 15 to 90 degrees two-theta, in order of falling intensity:
30.60 deg, I 100, (2 0 2)
15.16 deg, I 92, (1 0 1)
23.58 deg, I 81, (0 2 1)
17.95 deg, I 58, (1 1 0)
50.36 deg, I 56, (0 2 4)
29.79 deg, I 45, (2 1 1)
35.70 deg, I 37, (1 2 2)
24.57 deg, I 32, (0 1 2)
36.36 deg, I 30, (2 2 0)
39.60 deg, I 29, (1 3 1)

Atomic structure:
```
data_PuSc3B4O12
_cell_length_a 9.8843
_cell_length_b 9.8843
_cell_length_c 7.9971
_cell_angle_alpha 90.00
_cell_angle_beta 90.00
_cell_angle_gamma 120.00
_symmetry_space_group_name_H-M 'R 3 2'
_symmetry_Int_Tables_number 155
_symmetry_space_group_name_Hall 'R 3 2"'
loop_
_atom_site_label
_atom_site_type_symbol
_atom_site_fract_x
_atom_site_fract_y
_atom_site_fract_z
Pu1 Pu 0.0000 0.0000 0.0000
Sc1 Sc 0.0000 0.5471 0.0000
B1 B 0.0000 0.0000 0.5000
B2 B 0.0000 0.4516 0.5000
O1 O 0.0000 0.5918 0.5000
O2 O 0.0000 0.8597 0.5000
O3 O 0.0189 0.2102 0.1791
```